# 1
Structure and theoretical powder diffractogram of AcPr5Nd2Dy (a DFT-relaxed cell (GGA-PBE, Alexandria); λ = 1.5418 Å (Cu Kα)).

Cell: 10.263 10.263 10.263 Å, 127.31 127.31 77.75°
Fractional positions:
Ac1 0.250 0.250 0.000
Ac2 0.750 0.750 0.000
Pr1 0.000 0.000 0.000
Pr2 0.070 0.570 0.909
Pr3 0.161 0.070 0.500
Pr4 0.339 0.839 0.909
Pr5 0.430 0.339 0.500
Pr6 0.500 0.500 0.000
Pr7 0.570 0.661 0.500
Pr8 0.661 0.161 0.091
Pr9 0.839 0.930 0.500
Pr10 0.930 0.430 0.091
Nd1 0.116 0.384 0.500
Nd2 0.384 0.884 0.267
Nd3 0.616 0.116 0.733
Nd4 0.884 0.616 0.500
Dy1 0.250 0.750 0.500
Dy2 0.750 0.250 0.500

Peak list (10 most intense, 2θ = 15–90°, by angle)
Position (°2θ)	I (rel.)
27.6	44
27.7	50
29.7	100
31.0	17
35.7	13
36.0	16
41.2	23
45.4	13
50.3	23
54.0	14

# 2
Structure and theoretical powder diffractogram of BaHg3Au2 (a DFT-relaxed cell (GGA-PBE, Alexandria); λ = 1.5418 Å (Cu Kα)).

Cell: 9.410 9.410 8.640 Å, 117.02 117.02 29.42°
Fractional positions:
Ba1 0.140 0.140 0.189
Ba2 0.860 0.860 0.811
Hg1 0.035 0.035 0.691
Hg2 0.321 0.321 0.096
Hg3 0.358 0.358 0.507
Hg4 0.642 0.642 0.493
Hg5 0.679 0.679 0.904
Hg6 0.965 0.965 0.309
Au1 0.205 0.205 0.709
Au2 0.493 0.493 0.152
Au3 0.507 0.507 0.848
Au4 0.795 0.795 0.291

Peak list (10 most intense, 2θ = 15–90°, by angle)
Position (°2θ)	I (rel.)
28.4	43
30.9	100
32.5	77
33.5	27
37.6	63
38.1	53
38.2	24
40.6	21
57.8	18
68.3	18

Q: Number 2 is which compound?
A: BaHg3Au2